For K2NbCl3, DFT lattice parameters and positions (GGA-PBE) gives the theoretical powder diffraction line list in this record (Cu Kα).
Lines closer than 0.1° are merged.

Main lines, in order of rising 2θ (10 to 90 degrees two-theta):
2theta  I_rel  h k l
10.8  60  0 0 5
12.3  57  1 0 1
15.2  36  1 0 -4
16.0  100  0 1 -5
17.4  83  1 0 6
23.8  41  0 2 0
27.0  49  -1 1 9
29.7  43  1 -1 11
32.1  35  2 2 2
36.9  45  2 -2 2

abc: 7.331 7.555 41.176
angles: 89.79 87.78 82.39
Space group P1 (No. 1)
One atom of each set of equivalent atoms:
K: 0.000 0.000 0.000 x1
K: 0.001 0.115 0.223 x1
K: 0.008 0.518 0.634 x1
K: 0.040 0.660 0.850 x1
K: 0.047 0.082 0.112 x1
K: 0.141 0.525 0.533 x1
K: 0.252 0.556 0.436 x1
K: 0.315 0.045 0.837 x1
K: 0.317 0.551 0.330 x1
K: 0.370 0.114 0.931 x1
K: 0.402 0.560 0.234 x1
K: 0.500 0.066 0.730 x1
K: 0.592 0.643 0.124 x1
K: 0.634 0.075 0.627 x1
K: 0.684 0.045 0.523 x1
K: 0.693 0.611 0.035 x1
K: 0.767 0.644 0.937 x1
K: 0.880 0.062 0.424 x1
K: 0.904 0.566 0.740 x1
K: 0.965 0.077 0.328 x1
Nb: 0.137 0.019 0.591 x1
Nb: 0.247 0.374 0.034 x1
Nb: 0.395 0.053 0.406 x1
Nb: 0.434 0.101 0.037 x1
Nb: 0.492 0.588 0.677 x1
Nb: 0.522 0.070 0.182 x1
Nb: 0.579 0.550 0.832 x1
Nb: 0.722 0.536 0.467 x1
Nb: 0.855 0.563 0.283 x1
Nb: 0.875 0.027 0.792 x1
Cl: 0.034 0.926 0.913 x1
Cl: 0.049 0.482 0.986 x1
Cl: 0.078 0.798 0.273 x1
Cl: 0.157 0.316 0.279 x1
Cl: 0.171 0.296 0.381 x1
Cl: 0.190 0.838 0.381 x1
Cl: 0.281 0.425 0.712 x1
Cl: 0.312 0.850 0.068 x1
Cl: 0.314 0.838 0.178 x1
Cl: 0.324 0.783 0.632 x1
Cl: 0.372 0.229 0.575 x1
Cl: 0.379 0.367 0.169 x1
Cl: 0.447 0.720 0.494 x1
Cl: 0.460 0.334 0.081 x1
Cl: 0.483 0.879 0.987 x1
Cl: 0.484 0.328 0.873 x1
Cl: 0.541 0.334 0.995 x1
Cl: 0.560 0.779 0.877 x1
Cl: 0.645 0.798 0.791 x1
Cl: 0.674 0.324 0.787 x1
Cl: 0.726 0.441 0.333 x1
Cl: 0.743 0.325 0.687 x1
Cl: 0.743 0.794 0.680 x1
Cl: 0.777 0.956 0.064 x1
Cl: 0.830 0.534 0.222 x1
Cl: 0.892 0.271 0.575 x1
Cl: 0.898 0.804 0.581 x1
Cl: 0.931 0.773 0.478 x1
Cl: 0.985 0.434 0.078 x1
Cl: 0.995 0.302 0.475 x1